Entry 1:
PaI2O8: simulated powder X-ray diffraction pattern (Cu Kα), based on the GGA-PBE geometry in Alexandria.

Crystal structure
Cell lengths 5.2090, 6.1134, 6.2349 Å; angles 109.02, 92.73, 91.58 degrees
Fractional coordinates of all 11 atoms:
Pa  0.0000  0.0000  0.0000
I  0.2813  0.6064  0.3539
I  0.7187  0.3936  0.6461
O  0.1731  0.8585  0.7218
O  0.2524  0.8129  0.1950
O  0.2599  0.3336  0.1014
O  0.3708  0.3538  0.5870
O  0.6292  0.6462  0.4130
O  0.7401  0.6664  0.8986
O  0.7476  0.1871  0.8050
O  0.8269  0.1415  0.2782

Main lines, sorted by position (10° ≤ 2θ ≤ 90°):
d/Å	I (rel.)
5.198	21
5.026	37
4.017	100
3.778	78
3.593	80
3.576	74
3.058	36
3.011	31
2.328	35
2.181	25
1.961	20
1.925	21

***

Entry 2:
PaReI2O6: simulated powder X-ray diffraction pattern (Cu Kα), based on the GGA-PBE geometry in Alexandria.

Crystal structure
Cell lengths 5.7428, 5.9066, 7.9449 Å; angles 68.18, 73.99, 90.00 degrees
Fractional coordinates of all 10 atoms:
Pa  0.0000  0.0000  0.0000
Re  0.5000  0.5000  0.0000
I  0.2695  0.2890  0.4220
I  0.7305  0.7110  0.5780
O  0.1058  0.1419  0.7164
O  0.2795  0.7257  0.9871
O  0.2814  0.2854  0.9872
O  0.7186  0.7146  0.0128
O  0.7205  0.2743  0.0129
O  0.8942  0.8581  0.2836

Main lines, sorted by position (10° ≤ 2θ ≤ 90°):
d/Å	I (rel.)
7.043	21
4.108	100
3.521	24
2.953	18
2.858	16
2.770	22
2.587	15
2.263	9
2.054	17
1.862	11
1.830	9
1.814	11

***

Entry 3:
PaRhIO6: simulated powder X-ray diffraction pattern (Cu Kα), based on the GGA-PBE geometry in Alexandria.

Crystal structure
Cell lengths 5.6521, 5.6521, 8.9064 Å; angles 90.00, 90.00, 120.00 degrees
Fractional coordinates of all 18 atoms:
Pa  0.3333  0.6667  0.2500
Pa  0.6667  0.3333  0.7500
Rh  0.0000  0.0000  0.0000
Rh  0.0000  0.0000  0.5000
I  0.3333  0.6667  0.7500
I  0.6667  0.3333  0.2500
O  0.0041  0.3334  0.6263
O  0.0041  0.6707  0.8737
O  0.3293  0.3334  0.8737
O  0.3293  0.9959  0.6263
O  0.3334  0.0041  0.1263
O  0.3334  0.3293  0.3737
O  0.6666  0.6707  0.6263
O  0.6666  0.9959  0.8737
O  0.6707  0.0041  0.3737
O  0.6707  0.6666  0.1263
O  0.9959  0.3293  0.1263
O  0.9959  0.6666  0.3737

Main lines, sorted by position (10° ≤ 2θ ≤ 90°):
d/Å	I (rel.)
4.453	26
4.290	16
3.294	100
2.826	69
2.386	35
2.145	30
1.749	51
1.709	30
1.632	24
1.316	12
1.299	12
1.193	14

***

Entry 4:
PaSIO6: simulated powder X-ray diffraction pattern (Cu Kα), based on the GGA-PBE geometry in Alexandria.

Crystal structure
Cell lengths 5.3838, 5.9614, 7.5975 Å; angles 84.99, 76.61, 63.60 degrees
Fractional coordinates of all 9 atoms:
Pa  0.0000  0.0000  0.0000
S  0.7102  0.5759  0.9992
I  0.5046  0.9933  0.5006
O  0.2537  0.9883  0.7719
O  0.4210  0.7402  0.1058
O  0.6860  0.4025  0.8810
O  0.7576  0.9929  0.2288
O  0.8380  0.7361  0.8919
O  0.9027  0.4116  0.1184

Main lines, sorted by position (10° ≤ 2θ ≤ 90°):
d/Å	I (rel.)
7.390	75
5.339	100
4.428	82
4.379	82
3.695	52
3.648	43
3.631	42
3.064	20
2.886	38
2.846	37
2.669	27
2.417	20

***

Entry 5:
PaSe2IO8: simulated powder X-ray diffraction pattern (Cu Kα), based on the GGA-PBE geometry in Alexandria.

Crystal structure
Cell lengths 6.2710, 6.2710, 6.6534 Å; angles 90.00, 90.00, 120.00 degrees
Fractional coordinates of all 12 atoms:
Pa  0.0000  0.0000  0.0000
Se  0.3333  0.6667  0.7692
Se  0.6667  0.3333  0.2308
I  0.0000  0.0000  0.5000
O  0.1911  0.3822  0.8734
O  0.1911  0.8089  0.8734
O  0.3333  0.6667  0.5269
O  0.3822  0.1911  0.1266
O  0.6178  0.8089  0.8734
O  0.6667  0.3333  0.4731
O  0.8089  0.1911  0.1266
O  0.8089  0.6178  0.1266

Main lines, sorted by position (10° ≤ 2θ ≤ 90°):
d/Å	I (rel.)
6.653	18
5.431	85
4.207	64
3.135	98
2.837	100
2.104	42
2.053	27
1.810	20
1.747	48
1.469	27
1.372	22
1.225	17

***

Entry 6:
PaZn2IO8: simulated powder X-ray diffraction pattern (Cu Kα), based on the GGA-PBE geometry in Alexandria.

Crystal structure
Cell lengths 4.7218, 4.7218, 6.7558 Å; angles 90.00, 90.00, 91.66 degrees
Fractional coordinates of all 12 atoms:
Pa  0.0000  0.0000  0.0000
Zn  0.5000  0.5000  0.2618
Zn  0.5000  0.5000  0.7382
I  0.0000  0.0000  0.5000
O  0.1891  0.8109  0.2861
O  0.1891  0.8109  0.7139
O  0.2859  0.2859  0.5000
O  0.3061  0.3061  0.0000
O  0.6939  0.6939  0.0000
O  0.7141  0.7141  0.5000
O  0.8109  0.1891  0.2861
O  0.8109  0.1891  0.7139

Main lines, sorted by position (10° ≤ 2θ ≤ 90°):
d/Å	I (rel.)
4.720	43
3.869	11
3.386	66
3.290	51
2.747	100
2.392	17
2.360	26
1.805	39
1.775	36
1.511	11
1.426	21
1.373	10

***

Entry 7:
PbI2O6: simulated powder X-ray diffraction pattern (Cu Kα), based on the GGA-PBE geometry in Alexandria.

Crystal structure
Cell lengths 8.7610, 8.7610, 4.6212 Å; angles 96.68, 96.68, 109.40 degrees
Fractional coordinates of all 18 atoms:
Pb  0.1365  0.8635  0.7500
Pb  0.8635  0.1365  0.2500
I  0.2180  0.4466  0.8567
I  0.4466  0.2180  0.3567
I  0.5534  0.7820  0.6433
I  0.7820  0.5534  0.1433
O  0.0464  0.2485  0.7769
O  0.1123  0.5930  0.8054
O  0.2485  0.0464  0.2769
O  0.2939  0.4417  0.5019
O  0.4070  0.8877  0.6946
O  0.4417  0.2939  0.0019
O  0.5583  0.7061  0.9981
O  0.5930  0.1123  0.3054
O  0.7061  0.5583  0.4981
O  0.7515  0.9536  0.7231
O  0.8877  0.4070  0.1946
O  0.9536  0.7515  0.2231

Main lines, sorted by position (10° ≤ 2θ ≤ 90°):
d/Å	I (rel.)
4.268	20
3.705	78
3.575	70
3.313	100
3.221	57
2.989	25
2.806	22
2.716	32
2.293	17
2.280	21
2.010	24
1.936	27

***

Entry 8:
PbI2O6: simulated powder X-ray diffraction pattern (Cu Kα), based on the GGA-PBE geometry in Alexandria.

Crystal structure
Cell lengths 17.0666, 5.6293, 6.1921 Å; angles 90.00, 90.00, 90.00 degrees
Fractional coordinates of all 36 atoms:
Pb  0.0000  0.2370  0.2500
Pb  0.0000  0.7630  0.7500
Pb  0.5000  0.2630  0.7500
Pb  0.5000  0.7370  0.2500
I  0.1618  0.2466  0.6964
I  0.1618  0.7534  0.1964
I  0.3382  0.2534  0.1964
I  0.3382  0.7466  0.6964
I  0.6618  0.2534  0.3036
I  0.6618  0.7466  0.8036
I  0.8382  0.2466  0.8036
I  0.8382  0.7534  0.3036
O  0.0700  0.1020  0.5993
O  0.0700  0.8980  0.0993
O  0.1128  0.4134  0.9157
O  0.1128  0.5866  0.4157
O  0.2089  0.0026  0.8452
O  0.2089  0.9974  0.3452
O  0.2911  0.4974  0.3452
O  0.2911  0.5026  0.8452
O  0.3872  0.0866  0.4157
O  0.3872  0.9134  0.9157
O  0.4300  0.3980  0.0993
O  0.4300  0.6020  0.5993
O  0.5700  0.3980  0.4007
O  0.5700  0.6020  0.9007
O  0.6128  0.0866  0.0843
O  0.6128  0.9134  0.5843
O  0.7089  0.4974  0.1548
O  0.7089  0.5026  0.6548
O  0.7911  0.0026  0.6548
O  0.7911  0.9974  0.1548
O  0.8872  0.4134  0.5843
O  0.8872  0.5866  0.0843
O  0.9300  0.1020  0.9007
O  0.9300  0.8980  0.4007

Main lines, sorted by position (10° ≤ 2θ ≤ 90°):
d/Å	I (rel.)
8.533	7
3.361	100
3.096	15
2.844	14
2.815	12
2.095	12
2.083	11
2.001	13
1.834	10
1.726	14
1.712	14
1.680	11

***

Copy entry 1 word for word.
PaI2O8: simulated powder X-ray diffraction pattern (Cu Kα), based on the GGA-PBE geometry in Alexandria.

Crystal structure
Cell lengths 5.2090, 6.1134, 6.2349 Å; angles 109.02, 92.73, 91.58 degrees
Fractional coordinates of all 11 atoms:
Pa  0.0000  0.0000  0.0000
I  0.2813  0.6064  0.3539
I  0.7187  0.3936  0.6461
O  0.1731  0.8585  0.7218
O  0.2524  0.8129  0.1950
O  0.2599  0.3336  0.1014
O  0.3708  0.3538  0.5870
O  0.6292  0.6462  0.4130
O  0.7401  0.6664  0.8986
O  0.7476  0.1871  0.8050
O  0.8269  0.1415  0.2782

Main lines, sorted by position (10° ≤ 2θ ≤ 90°):
d/Å	I (rel.)
5.198	21
5.026	37
4.017	100
3.778	78
3.593	80
3.576	74
3.058	36
3.011	31
2.328	35
2.181	25
1.961	20
1.925	21